1.
Computed PXRD pattern of SrP3 for λ = 1.5418 Å (Cu Kα), from DFT lattice parameters and positions (GGA-PBE).
Lines closer than 0.1° are merged.

Atomic structure:
a = 6.853 Å, b = 6.853 Å, c = 8.634 Å
α = 101.25°, β = 101.25°, γ = 65.85°
Fractional positions:
Sr: 0.042 0.042 0.242
Sr: 0.293 0.293 0.725
Sr: 0.707 0.707 0.275
Sr: 0.958 0.958 0.758
P: 0.095 0.603 0.012
P: 0.165 0.639 0.475
P: 0.326 0.326 0.337
P: 0.361 0.835 0.525
P: 0.397 0.905 0.988
P: 0.417 0.417 0.132
P: 0.583 0.583 0.868
P: 0.603 0.095 0.012
P: 0.639 0.165 0.475
P: 0.674 0.674 0.663
P: 0.835 0.361 0.525
P: 0.905 0.397 0.988

The 12 most intense peaks (15° ≤ 2θ ≤ 90°), in order of falling intensity:
two_theta  I_rel
32.12  100.0
26.73  42.2
32.26  34.0
30.84  33.3
29.40  24.8
26.63  23.4
48.91  19.5
43.77  19.1
47.38  17.3
37.77  16.5
30.57  16.3
58.64  15.7

***

2.
Computed PXRD pattern of Cd2P4PdO8 for λ = 1.5418 Å (Cu Kα), from DFT lattice parameters and positions (GGA-PBE).
Lines closer than 0.1° are merged.

Atomic structure:
a = 10.539 Å, b = 10.517 Å, c = 9.172 Å
α = 64.30°, β = 64.06°, γ = 51.65°
Fractional positions:
Cd: 0.000 0.000 0.000
Cd: 0.000 0.000 0.500
Cd: 0.000 0.500 0.000
Cd: 0.500 0.000 0.000
P: 0.199 0.662 0.315
P: 0.315 0.323 0.199
P: 0.323 0.315 0.662
P: 0.338 0.801 0.677
P: 0.662 0.199 0.323
P: 0.677 0.685 0.338
P: 0.685 0.677 0.801
P: 0.801 0.338 0.685
Pd: 0.375 0.375 0.375
Pd: 0.625 0.625 0.625
O: 0.093 0.767 0.444
O: 0.146 0.443 0.156
O: 0.156 0.756 0.146
O: 0.196 0.444 0.767
O: 0.233 0.907 0.804
O: 0.244 0.844 0.557
O: 0.443 0.146 0.756
O: 0.444 0.196 0.093
O: 0.556 0.804 0.907
O: 0.557 0.854 0.244
O: 0.756 0.156 0.443
O: 0.767 0.093 0.196
O: 0.804 0.556 0.233
O: 0.844 0.244 0.854
O: 0.854 0.557 0.844
O: 0.907 0.233 0.556

The 12 most intense peaks (15° ≤ 2θ ≤ 90°), in order of falling intensity:
two_theta  I_rel
18.74  100.0
22.33  37.7
38.01  20.9
35.21  14.9
27.07  13.6
39.29  12.0
17.36  10.7
32.70  10.4
22.15  10.1
35.07  8.6
33.49  8.2
44.18  7.1